No. 1
Simulated X-ray powder pattern of Ba4PdAu3 for Cu Ka, from the PBE geometry in Alexandria.
Lines closer than 0.1° are merged.

Crystal structure
a = 4.520 Å, b = 4.913 Å, c = 12.249 Å
α = 90.00°, β = 90.00°, γ = 90.00°
Positions (direct):
Ba (0.000, 0.000, 0.000)
Ba (0.000, 0.500, 0.266)
Ba (0.500, 0.000, 0.489)
Ba (0.500, 0.500, 0.767)
Pd (0.500, 0.000, 0.203)
Au (0.000, 0.000, 0.710)
Au (0.000, 0.500, 0.551)
Au (0.500, 0.500, 0.058)

The 10 most intense peaks (2θ = 10–80°), in order of falling intensity:
34.8 deg, I = 100; 27.8 deg, I = 99; 34.5 deg, I = 34; 36.6 deg, I = 34; 69.1 deg, I = 33; 39.9 deg, I = 27; 29.2 deg, I = 23; 29.5 deg, I = 23; 14.5 deg, I = 23; 55.2 deg, I = 21

No. 2
Simulated X-ray powder pattern of Tb4TePb2 for Cu Ka, from the PBE geometry in Alexandria.
Lines closer than 0.1° are merged.

Crystal structure
a = 8.097 Å, b = 8.097 Å, c = 8.097 Å
α = 109.65°, β = 109.65°, γ = 109.11°
Positions (direct):
Tb (0.124, 0.017, 0.745)
Tb (0.129, 0.521, 0.755)
Tb (0.271, 0.379, 0.255)
Tb (0.479, 0.233, 0.608)
Tb (0.621, 0.876, 0.892)
Tb (0.626, 0.871, 0.392)
Tb (0.767, 0.374, 0.245)
Tb (0.983, 0.729, 0.108)
Te (0.250, 0.750, 0.500)
Te (0.500, 0.500, 0.000)
Pb (0.000, 0.125, 0.375)
Pb (0.375, 0.000, 0.125)
Pb (0.750, 0.625, 0.625)
Pb (0.875, 0.250, 0.875)

The 10 most intense peaks (2θ = 10–80°), in order of falling intensity:
30.3 deg, I = 100; 35.9 deg, I = 67; 30.1 deg, I = 45; 36.0 deg, I = 31; 61.2 deg, I = 28; 49.7 deg, I = 19; 45.5 deg, I = 17; 43.3 deg, I = 16; 74.7 deg, I = 15; 47.7 deg, I = 15

No. 3
Simulated X-ray powder pattern of AcY4Ho7 for Cu Ka, from the PBE geometry in Alexandria.
Lines closer than 0.1° are merged.

Crystal structure
a = 6.247 Å, b = 7.224 Å, c = 8.897 Å
α = 89.94°, β = 76.31°, γ = 89.96°
Positions (direct):
Ac (0.000, 0.000, 0.000)
Y (0.222, 0.500, 0.335)
Y (0.282, 0.252, 0.663)
Y (0.718, 0.748, 0.337)
Y (0.778, 0.500, 0.665)
Ho (0.000, 0.500, 0.000)
Ho (0.223, 0.000, 0.338)
Ho (0.279, 0.747, 0.664)
Ho (0.499, 0.746, 0.999)
Ho (0.501, 0.254, 0.001)
Ho (0.721, 0.253, 0.336)
Ho (0.777, 0.000, 0.662)

The 10 most intense peaks (2θ = 10–80°), in order of falling intensity:
31.8 deg, I = 100; 33.4 deg, I = 63; 31.0 deg, I = 49; 28.8 deg, I = 48; 50.6 deg, I = 38; 33.5 deg, I = 30; 62.0 deg, I = 16; 60.5 deg, I = 15; 60.5 deg, I = 15; 60.6 deg, I = 14

No. 4
Simulated X-ray powder pattern of Rb2NaSb2O7 for Cu Ka, from the PBE geometry in Alexandria.
Lines closer than 0.1° are merged.

Crystal structure
a = 11.594 Å, b = 11.594 Å, c = 11.594 Å
α = 159.96°, β = 159.96°, γ = 28.49°
Positions (direct):
Rb (0.191, 0.191, 0.000)
Rb (0.809, 0.809, 0.000)
Na (0.000, 0.000, 0.000)
Sb (0.411, 0.411, 0.000)
Sb (0.589, 0.589, 0.000)
O (0.082, 0.582, 0.500)
O (0.325, 0.325, 0.000)
O (0.418, 0.918, 0.500)
O (0.500, 0.500, 0.000)
O (0.582, 0.082, 0.500)
O (0.675, 0.675, 0.000)
O (0.918, 0.418, 0.500)

The 10 most intense peaks (2θ = 10–80°), in order of falling intensity:
29.8 deg, I = 100; 31.4 deg, I = 55; 54.8 deg, I = 36; 44.9 deg, I = 33; 22.4 deg, I = 33; 51.8 deg, I = 17; 15.8 deg, I = 16; 61.8 deg, I = 13; 40.1 deg, I = 12; 65.4 deg, I = 10